# Zr3Sn2S8
Computed X-ray powder pattern, Cu Ka. Input: DFT lattice parameters and positions (GGA-PBE).
Lines closer than 0.1° are merged.

Most intense lines, 15° ≤ 2θ ≤ 90°, sorted by position:
| d/Å | 2theta | Rel. int. |
| --- | --- | --- |
| 5.458 | 16.2 | 30 |
| 4.193 | 21.2 | 69 |
| 3.729 | 23.9 | 57 |
| 3.271 | 27.3 | 40 |
| 3.211 | 27.8 | 19 |
| 3.094 | 28.9 | 40 |
| 2.649 | 33.8 | 20 |
| 2.525 | 35.5 | 100 |
| 2.149 | 42.1 | 68 |
| 1.878 | 48.5 | 67 |

Atomic structure:
a b c (Å): 7.9596 7.9596 6.5132
angles (deg): 105.78 105.78 56.24
Positions (direct):
Zr  0.0000  0.0000  0.0000
Zr  0.2617  0.7383  0.5000
Zr  0.7383  0.2617  0.5000
Sn  0.2621  0.2621  0.8398
Sn  0.7379  0.7379  0.1602
S  0.1061  0.1061  0.4003
S  0.1220  0.6532  0.1007
S  0.3468  0.8780  0.8993
S  0.3872  0.3872  0.5609
S  0.6128  0.6128  0.4391
S  0.6532  0.1220  0.1007
S  0.8780  0.3468  0.8993
S  0.8939  0.8939  0.5997